Calculated powder XRD pattern
Compound: LiMn4O8
Radiation: copper Kα
Structure: a structure optimized by DFT (GGA+U)
Kinematic intensities with the Lorentz-polarization factor, no thermal factor.

Crystal structure
Lattice parameters (Å, degrees): 8.3548 8.3548 8.3548 90.00 90.00 90.00
Space group F-43m (No. 216)
One atom of each set of equivalent atoms:
1 Li 0.0000 0.0000 0.0000 x4
2 Mn 0.1241 0.1241 0.6241 x16
3 O 0.1096 0.1096 0.3904 x16
4 O 0.1388 0.1388 0.8612 x16

The 8 most intense peaks (5° ≤ 2θ ≤ 70°), by angle:
2theta  I/Imax  (hkl)
18.4  1000  1 1 1
35.6  390  3 1 1
37.3  94  2 2 2
43.3  517  4 0 0
47.4  93  3 3 1
57.3  180  5 1 1
62.9  286  4 4 0
66.2  135  5 3 1